(1)
For K2NpBiO6, a structure optimized by DFT (PBE) gives the theoretical X-ray powder pattern in this record (Cu Ka).
Kinematic intensities with the Lorentz-polarization factor, no thermal factor.

Atomic structure:
Lattice parameters (Å, degrees): 6.1853 8.7472 6.1857 90.00 90.00 90.00
Space group Pmmn (No. 59, origin choice 2)
Inequivalent atoms, fractional coordinates:
K  0.2500  0.0000  0.2504 [4 per cell]
Np  0.2500  0.2500  0.7495 [2 per cell]
Bi  0.2500  0.7500  0.7504 [2 per cell]
O  0.0176  0.2500  0.5170 [4 per cell]
O  0.0175  0.2500  0.9818 [4 per cell]
O  0.2500  0.0176  0.7493 [4 per cell]

Principal peaks in the range 2θ = 10–80°, in order of falling intensity:
two_theta	I/Imax	(hkl)
28.9	100	2 0 0
20.3	74	1 0 1
51.2	42	3 2 1
46.4	36	3 0 1
41.3	30	2 0 2
59.8	19	4 0 0
67.8	19	4 0 2
63.8	18	3 0 3
35.6	11	2 2 0
78.9	8	5 0 1

(2)
For KBiO2, a structure optimized by DFT (PBE) gives the theoretical X-ray powder pattern in this record (Cu Ka).
Kinematic intensities with the Lorentz-polarization factor, no thermal factor.

Atomic structure:
Lattice parameters (Å, degrees): 5.7075 5.6308 11.1454 90.00 115.83 90.00
Space group P2/c (No. 13)
Inequivalent atoms, fractional coordinates:
K  0.1261  0.2418  0.1235 [4 per cell]
Bi  0.4069  0.2835  0.8781 [4 per cell]
O  0.2394  0.2752  0.6423 [4 per cell]
O  0.3692  0.3417  0.3874 [4 per cell]

Principal peaks in the range 2θ = 10–80°, in order of falling intensity:
two_theta	I/Imax	(hkl)
27.7	100	1 1 1
29.4	86	1 1 -3
17.3	78	1 0 0
18.1	78	0 1 1
31.5	53	2 0 -2
31.8	50	0 2 0
35.8	47	0 0 4
45.3	31	2 2 -2
48.6	29	0 2 4
61.0	23	2 2 -6

(3)
For KBi2O3, a structure optimized by DFT (PBE) gives the theoretical X-ray powder pattern in this record (Cu Ka).
Kinematic intensities with the Lorentz-polarization factor, no thermal factor.

Atomic structure:
Lattice parameters (Å, degrees): 10.6653 6.1628 6.8431 90.00 90.00 90.00
Space group Cmcm (No. 63)
Inequivalent atoms, fractional coordinates:
K  0.0000  0.0005  0.2500 [4 per cell]
Bi  0.1667  0.5000  0.0000 [8 per cell]
O  0.0000  0.4360  0.2500 [4 per cell]
O  0.2179  0.2180  0.7500 [8 per cell]

Principal peaks in the range 2θ = 10–80°, in order of falling intensity:
two_theta	I/Imax	(hkl)
29.0	100	3 1 0
39.4	73	3 1 2
16.6	62	2 0 0
31.1	48	2 0 2
43.0	30	2 2 2
62.1	24	3 1 4
51.4	23	6 0 0
52.7	23	5 1 2
26.0	23	0 0 2
58.5	21	6 0 2

(4)
For K2Bi2O5, a structure optimized by DFT (PBE) gives the theoretical X-ray powder pattern in this record (Cu Ka).
Kinematic intensities with the Lorentz-polarization factor, no thermal factor.

Atomic structure:
Lattice parameters (Å, degrees): 17.3774 6.2140 6.0696 90.00 90.00 90.00
Space group Ima2 (No. 46)
Inequivalent atoms, fractional coordinates:
K  0.1071  0.0117  0.0000 [8 per cell]
Bi  0.0000  0.0000  0.5012 [4 per cell]
Bi  0.2500  0.5435  0.9771 [4 per cell]
O  0.0089  0.7491  0.7508 [8 per cell]
O  0.1247  0.0327  0.5052 [8 per cell]
O  0.2500  0.6478  0.6375 [4 per cell]

Principal peaks in the range 2θ = 10–80°, in order of falling intensity:
two_theta	I/Imax	(hkl)
20.5	100	4 0 0
29.1	91	4 1 1
41.6	38	8 0 0
46.8	32	8 1 1
29.4	29	0 0 2
28.7	25	0 2 0
52.0	19	4 1 3
51.1	16	4 3 1
60.3	16	8 2 2
68.3	13	12 1 1

(5)
For K8BiO3, a structure optimized by DFT (PBE) gives the theoretical X-ray powder pattern in this record (Cu Ka).
Kinematic intensities with the Lorentz-polarization factor, no thermal factor.

Atomic structure:
Lattice parameters (Å, degrees): 7.0842 7.0842 7.0842 90.00 90.00 90.00
Space group Pm-3m (No. 221)
Inequivalent atoms, fractional coordinates:
K  0.2292  0.2292  0.2292 [8 per cell]
Bi  0.5000  0.5000  0.5000 [1 per cell]
O  0.0000  0.0000  0.5000 [3 per cell]

Principal peaks in the range 2θ = 10–80°, in order of falling intensity:
two_theta	I/Imax	(hkl)
35.9	100	2 2 0
17.7	67	1 1 0
28.2	64	2 1 0
21.7	51	1 1 1
12.5	37	1 0 0
30.9	32	2 1 1
64.4	27	4 2 2
42.3	27	3 1 1
38.1	26	3 0 0
48.1	25	3 2 1

(6)
For K2Bi3O8, a structure optimized by DFT (PBE) gives the theoretical X-ray powder pattern in this record (Cu Ka).
Kinematic intensities with the Lorentz-polarization factor, no thermal factor.

Atomic structure:
Lattice parameters (Å, degrees): 13.1814 6.8958 5.7561 90.00 109.50 90.00
Space group C2/m (No. 12)
Inequivalent atoms, fractional coordinates:
K  0.2197  0.0000  0.1592 [4 per cell]
Bi  0.0000  0.2375  0.5000 [4 per cell]
Bi  0.0000  0.5000  0.0000 [2 per cell]
O  0.0908  0.5000  0.4020 [4 per cell]
O  0.0918  0.2839  0.8868 [8 per cell]
O  0.1028  0.0000  0.4736 [4 per cell]

Principal peaks in the range 2θ = 10–80°, in order of falling intensity:
two_theta	I/Imax	(hkl)
14.3	100	2 0 0
31.5	34	2 2 -1
30.7	28	0 2 1
38.4	28	4 2 -1
28.7	19	4 0 0
23.8	17	1 1 1
33.0	16	0 0 2
31.3	16	2 0 -2
46.4	16	4 2 1
25.8	16	3 1 -1

(7)
For K3Bi2O6, a structure optimized by DFT (PBE) gives the theoretical X-ray powder pattern in this record (Cu Ka).
Kinematic intensities with the Lorentz-polarization factor, no thermal factor.

Atomic structure:
Lattice parameters (Å, degrees): 4.1922 4.1922 23.7937 90.00 90.00 90.00
Space group I4/mmm (No. 139)
Inequivalent atoms, fractional coordinates:
K  0.0000  0.0000  0.0000 [2 per cell]
K  0.0000  0.0000  0.1969 [4 per cell]
Bi  0.0000  0.0000  0.3944 [4 per cell]
O  0.0000  0.0000  0.3087 [4 per cell]
O  0.0000  0.5000  0.0818 [8 per cell]

Principal peaks in the range 2θ = 10–80°, in order of falling intensity:
two_theta	I/Imax	(hkl)
28.4	100	1 0 5
21.5	56	1 0 1
14.9	49	0 0 4
30.1	44	1 1 0
52.5	37	2 1 5
43.1	32	2 0 0
49.1	29	1 1 10
33.8	19	1 1 4
40.3	18	1 0 9
24.0	18	1 0 3

(8)
For K7Bi9O24, a structure optimized by DFT (PBE) gives the theoretical X-ray powder pattern in this record (Cu Ka).
Kinematic intensities with the Lorentz-polarization factor, no thermal factor.

Atomic structure:
Lattice parameters (Å, degrees): 17.2505 8.4682 9.5593 90.00 116.71 90.00
Space group C2/m (No. 12)
Inequivalent atoms, fractional coordinates:
K  0.0000  0.0000  0.0000 [2 per cell]
K  0.1285  0.0000  0.5001 [4 per cell]
K  0.1308  0.5000  0.4994 [4 per cell]
K  0.2503  0.0000  0.9976 [4 per cell]
Bi  0.0000  0.5000  0.0000 [2 per cell]
Bi  0.0624  0.2528  0.7468 [8 per cell]
Bi  0.1879  0.2527  0.2480 [8 per cell]
O  0.0000  0.1981  0.5000 [4 per cell]
O  0.0533  0.5000  0.6945 [4 per cell]
O  0.0576  0.2950  0.2315 [8 per cell]
O  0.0669  0.0000  0.7943 [4 per cell]
O  0.1133  0.3079  0.9963 [8 per cell]
O  0.1693  0.0000  0.2281 [4 per cell]
O  0.1916  0.2567  0.7688 [8 per cell]
O  0.2031  0.5000  0.2742 [4 per cell]
O  0.2500  0.2500  0.5000 [4 per cell]

Principal peaks in the range 2θ = 10–80°, in order of falling intensity:
two_theta	I/Imax	(hkl)
29.7	100	0 2 2
29.4	98	4 0 1
29.6	97	4 2 -1
20.6	48	4 0 -1
20.8	46	0 0 2
52.7	45	4 4 1
21.0	44	0 2 0
52.2	43	8 2 0
52.5	43	4 2 3
41.9	30	8 0 -2

(9)
For KBiP2O6, a structure optimized by DFT (PBE) gives the theoretical X-ray powder pattern in this record (Cu Ka).
Kinematic intensities with the Lorentz-polarization factor, no thermal factor.

Atomic structure:
Lattice parameters (Å, degrees): 10.2131 10.0032 6.1531 90.00 110.10 90.00
Space group C2/c (No. 15)
Inequivalent atoms, fractional coordinates:
K  0.0000  0.0516  0.2500 [4 per cell]
Bi  0.0000  0.3377  0.7500 [4 per cell]
P  0.2284  0.3239  0.3533 [8 per cell]
O  0.1204  0.2645  0.1336 [8 per cell]
O  0.1250  0.1670  0.6778 [8 per cell]
O  0.1852  0.4547  0.4375 [8 per cell]

Principal peaks in the range 2θ = 10–80°, in order of falling intensity:
two_theta	I/Imax	(hkl)
28.3	100	3 1 -1
26.5	78	2 2 -1
22.4	69	1 1 1
33.3	45	2 2 1
17.4	44	1 1 -1
18.5	37	2 0 0
12.8	35	1 1 0
39.9	33	1 3 -2
39.7	32	4 2 -1
31.0	30	0 0 2

(10)
For K3Bi2P3O12, a structure optimized by DFT (PBE) gives the theoretical X-ray powder pattern in this record (Cu Ka).
Kinematic intensities with the Lorentz-polarization factor, no thermal factor.

Atomic structure:
Lattice parameters (Å, degrees): 13.9429 13.6427 6.9491 90.00 115.21 90.00
Space group C2/c (No. 15)
Inequivalent atoms, fractional coordinates:
K  0.0000  0.0000  0.0000 [4 per cell]
K  0.0000  0.2254  0.2500 [4 per cell]
K  0.0000  0.4916  0.2500 [4 per cell]
Bi  0.2377  0.3505  0.1709 [8 per cell]
P  0.0000  0.2509  0.7500 [4 per cell]
P  0.2415  0.3962  0.6339 [8 per cell]
O  0.0652  0.3211  0.9414 [8 per cell]
O  0.0707  0.1849  0.6824 [8 per cell]
O  0.1540  0.0704  0.3702 [8 per cell]
O  0.1726  0.3398  0.4215 [8 per cell]
O  0.1745  0.4841  0.6522 [8 per cell]
O  0.2371  0.1752  0.1733 [8 per cell]

Principal peaks in the range 2θ = 10–80°, in order of falling intensity:
two_theta	I/Imax	(hkl)
14.0	100	2 0 0
29.8	96	2 4 0
28.3	70	4 0 0
19.9	68	2 2 -1
19.2	61	0 2 1
32.8	57	1 3 -2
39.6	34	0 6 0
28.0	28	3 1 -2
30.4	23	4 0 -2
28.9	22	4 2 -1